Calculated PXRD pattern of PaCdBi2N for λ = 1.5418 Å (Cu Kα), from a DFT-relaxed cell (GGA-PBE, Alexandria).
No peak broadening, texture or thermal motion is included.

Top 8 peaks for 10 to 80 degrees two-theta, by angle:
hkl  d (Å)  2theta  I_rel
0 0 2  8.695  10.17  20.8
1 0 3  3.254  27.41  86.1
1 1 0  2.780  32.20  85.8
1 0 5  2.605  34.43  100.0
2 0 0  1.966  46.18  34.4
1 1 8  1.712  53.51  29.8
2 1 3  1.683  54.54  27.0
2 1 5  1.569  58.85  43.6

Atomic structure:
a b c (Å): 3.932 3.932 17.390
angles (deg): 90.00 90.00 90.00
Space group P4/nmm (No. 129, origin choice 2)
Inequivalent atoms, fractional coordinates:
Pa 0.250 0.250 0.067
Cd 0.250 0.250 0.652
Bi 0.250 0.250 0.435
Bi 0.250 0.250 0.820
N 0.250 0.750 0.000